# Pu3Zn5Rh3
Simulated PXRD pattern, CuKα. Input: DFT lattice parameters and positions (PBE).
Lines closer than 0.1° are merged.

Crystal structure
Lattice parameters (Å, degrees): 5.352 6.730 6.797 60.93 72.68 82.64
Space group P1 (No. 1)
Asymmetric unit:
Pu  0.000  0.000  0.000 (multiplicity 1)
Pu  0.071  0.592  0.570 (multiplicity 1)
Pu  0.241  0.528  0.052 (multiplicity 1)
Zn  0.393  0.141  0.515 (multiplicity 1)
Zn  0.418  0.012  0.212 (multiplicity 1)
Zn  0.557  0.286  0.757 (multiplicity 1)
Zn  0.652  0.549  0.309 (multiplicity 1)
Zn  0.912  0.099  0.460 (multiplicity 1)
Rh  0.574  0.727  0.581 (multiplicity 1)
Rh  0.608  0.856  0.902 (multiplicity 1)
Rh  0.761  0.363  0.039 (multiplicity 1)

Largest 12 diffraction maxima, by angle, 10° ≤ 2θ ≤ 90°:
- (1 1 2), 2θ = 27.85°, d = 3.203 Å, intensity 36.0
- (0 2 0), 2θ = 30.40°, d = 2.941 Å, intensity 34.6
- (0 0 2), 2θ = 31.29°, d = 2.858 Å, intensity 62.6
- (-1 2 1), 2θ = 34.05°, d = 2.633 Å, intensity 42.9
- (2 1 1), 2θ = 34.76°, d = 2.581 Å, intensity 39.1
- (1 -2 0), 2θ = 34.90°, d = 2.571 Å, intensity 46.1
- (2 1 2), 2θ = 37.80°, d = 2.380 Å, intensity 58.6
- (2 1 0), 2θ = 38.72°, d = 2.326 Å, intensity 55.7
- (-1 2 2), 2θ = 40.15°, d = 2.246 Å, intensity 72.9
- (2 -1 1), 2θ = 40.45°, d = 2.230 Å, intensity 58.0
- (0 2 -1), 2θ = 40.60°, d = 2.222 Å, intensity 40.7
- (1 3 2), 2θ = 42.29°, d = 2.137 Å, intensity 100.0

=====

# NdErTm3Sc
Simulated PXRD pattern, CuKα. Input: DFT lattice parameters and positions (PBE).
Lines closer than 0.1° are merged.

Crystal structure
Lattice parameters (Å, degrees): 4.929 14.767 9.885 90.00 90.00 90.00
Space group Cmcm (No. 63)
Asymmetric unit:
Nd  0.000  0.002  0.250 (multiplicity 4)
Er  0.000  0.500  0.000 (multiplicity 4)
Tm  0.000  0.168  0.000 (multiplicity 8)
Tm  0.000  0.330  0.250 (multiplicity 4)
Sc  0.000  0.331  0.750 (multiplicity 4)

Largest 12 diffraction maxima, by angle, 10° ≤ 2θ ≤ 90°:
- (1 3 2), 2θ = 31.42°, d = 2.847 Å, intensity 100.0
- (0 0 4), 2θ = 36.35°, d = 2.471 Å, intensity 16.9
- (2 0 0), 2θ = 36.48°, d = 2.463 Å, intensity 34.1
- (2 0 4), 2θ = 52.45°, d = 1.745 Å, intensity 23.9
- (2 6 0), 2θ = 52.55°, d = 1.742 Å, intensity 12.2
- (1 3 6), 2θ = 62.35°, d = 1.489 Å, intensity 14.1
- (3 3 2), 2θ = 62.52°, d = 1.486 Å, intensity 27.8
- (2 6 4), 2θ = 65.58°, d = 1.424 Å, intensity 12.3
- (3 3 6), 2θ = 85.86°, d = 1.132 Å, intensity 11.7
- (3 9 2), 2θ = 86.01°, d = 1.130 Å, intensity 5.8
- (2 0 8), 2θ = 88.53°, d = 1.104 Å, intensity 5.5
- (4 0 4), 2θ = 88.74°, d = 1.102 Å, intensity 5.5

=====

# Hf4NiAs
Simulated PXRD pattern, CuKα. Input: DFT lattice parameters and positions (PBE).
Lines closer than 0.1° are merged.

Crystal structure
Lattice parameters (Å, degrees): 6.457 6.457 5.369 90.00 90.00 90.00
Space group I422 (No. 97)
Asymmetric unit:
Hf  0.159  0.341  0.250 (multiplicity 8)
Ni  0.000  0.000  0.500 (multiplicity 2)
As  0.000  0.000  0.000 (multiplicity 2)

Largest 12 diffraction maxima, by angle, 10° ≤ 2θ ≤ 90°:
- (0 0 2), 2θ = 33.38°, d = 2.684 Å, intensity 15.7
- (2 1 1), 2θ = 35.29°, d = 2.543 Å, intensity 100.0
- (1 1 2), 2θ = 38.92°, d = 2.314 Å, intensity 15.9
- (2 0 2), 2θ = 43.86°, d = 2.064 Å, intensity 18.1
- (3 1 0), 2θ = 44.37°, d = 2.042 Å, intensity 24.5
- (3 3 0), 2θ = 60.89°, d = 1.521 Å, intensity 26.5
- (4 1 1), 2θ = 61.70°, d = 1.503 Å, intensity 14.2
- (4 0 2), 2θ = 67.74°, d = 1.383 Å, intensity 9.2
- (3 3 2), 2θ = 71.22°, d = 1.324 Å, intensity 15.6
- (4 1 3), 2θ = 81.71°, d = 1.179 Å, intensity 6.5
- (5 2 1), 2θ = 82.42°, d = 1.170 Å, intensity 11.6
- (3 1 4), 2θ = 86.84°, d = 1.122 Å, intensity 7.2

=====

# Nd12Ni5Sn
Simulated PXRD pattern, CuKα. Input: DFT lattice parameters and positions (PBE).
Lines closer than 0.1° are merged.

Crystal structure
Lattice parameters (Å, degrees): 9.617 9.935 10.351 90.00 90.00 90.00
Space group Immm (No. 71)
Asymmetric unit:
Nd  0.000  0.189  0.205 (multiplicity 8)
Nd  0.193  0.500  0.178 (multiplicity 8)
Nd  0.199  0.318  0.500 (multiplicity 8)
Ni  0.000  0.000  0.000 (multiplicity 2)
Ni  0.000  0.369  0.000 (multiplicity 4)
Ni  0.000  0.500  0.377 (multiplicity 4)
Sn  0.000  0.000  0.500 (multiplicity 2)

Largest 12 diffraction maxima, by angle, 10° ≤ 2θ ≤ 90°:
- (1 0 3), 2θ = 27.46°, d = 3.248 Å, intensity 24.1
- (0 3 1), 2θ = 28.29°, d = 3.154 Å, intensity 34.7
- (3 1 0), 2θ = 29.27°, d = 3.051 Å, intensity 38.1
- (2 2 2), 2θ = 31.12°, d = 2.874 Å, intensity 100.0
- (2 1 3), 2θ = 33.21°, d = 2.698 Å, intensity 70.8
- (1 3 2), 2θ = 33.45°, d = 2.679 Å, intensity 72.3
- (2 3 1), 2θ = 33.99°, d = 2.637 Å, intensity 25.4
- (3 2 1), 2θ = 34.40°, d = 2.607 Å, intensity 41.8
- (0 3 5), 2θ = 52.10°, d = 1.755 Å, intensity 24.0
- (3 5 0), 2θ = 54.32°, d = 1.689 Å, intensity 21.6
- (2 5 3), 2θ = 56.79°, d = 1.621 Å, intensity 25.2
- (5 3 2), 2θ = 58.27°, d = 1.584 Å, intensity 36.4

=====

# Sn2HPd8
Simulated PXRD pattern, CuKα. Input: DFT lattice parameters and positions (PBE).
Lines closer than 0.1° are merged.

Crystal structure
Lattice parameters (Å, degrees): 4.903 5.752 6.426 103.48 99.28 103.20
Space group P1 (No. 1)
Asymmetric unit:
Sn  0.000  0.000  0.000 (multiplicity 1)
Sn  0.439  0.333  0.771 (multiplicity 1)
H  0.554  0.509  0.343 (multiplicity 1)
Pd  0.032  0.503  0.987 (multiplicity 1)
Pd  0.199  0.415  0.393 (multiplicity 1)
Pd  0.223  0.914  0.384 (multiplicity 1)
Pd  0.405  0.830  0.785 (multiplicity 1)
Pd  0.601  0.217  0.175 (multiplicity 1)
Pd  0.621  0.726  0.181 (multiplicity 1)
Pd  0.822  0.620  0.597 (multiplicity 1)
Pd  0.828  0.110  0.593 (multiplicity 1)

Largest 12 diffraction maxima, by angle, 10° ≤ 2θ ≤ 90°:
- (0 2 -2), 2θ = 37.93°, d = 2.372 Å, intensity 100.0
- (2 0 -1), 2θ = 38.18°, d = 2.357 Å, intensity 99.0
- (-1 2 1), 2θ = 38.81°, d = 2.321 Å, intensity 97.5
- (1 0 2), 2θ = 38.86°, d = 2.317 Å, intensity 96.9
- (1 2 0), 2θ = 43.30°, d = 2.089 Å, intensity 69.9
- (1 0 -3), 2θ = 44.49°, d = 2.036 Å, intensity 63.7
- (2 -2 1), 2θ = 46.24°, d = 1.963 Å, intensity 56.9
- (2 2 -3), 2θ = 62.75°, d = 1.481 Å, intensity 20.7
- (0 2 3), 2θ = 64.95°, d = 1.436 Å, intensity 40.7
- (3 0 1), 2θ = 65.42°, d = 1.427 Å, intensity 19.7
- (2 2 2), 2θ = 77.03°, d = 1.238 Å, intensity 23.5
- (-2 2 4), 2θ = 78.62°, d = 1.217 Å, intensity 22.9

=====

# BaCdBi3
Simulated PXRD pattern, CuKα. Input: DFT lattice parameters and positions (PBE).
Lines closer than 0.1° are merged.

Crystal structure
Lattice parameters (Å, degrees): 7.091 7.137 7.097 90.00 90.00 90.00
Space group Pmn2_1 (No. 31)
Asymmetric unit:
Ba  0.000  0.221  0.000 (multiplicity 2)
Cd  0.000  0.626  0.682 (multiplicity 2)
Bi  0.000  0.914  0.382 (multiplicity 2)
Bi  0.249  0.289  0.535 (multiplicity 4)

Largest 12 diffraction maxima, by angle, 10° ≤ 2θ ≤ 90°:
- (0 1 1), 2θ = 17.63°, d = 5.030 Å, intensity 17.0
- (1 1 1), 2θ = 21.65°, d = 4.104 Å, intensity 24.8
- (0 0 2), 2θ = 25.10°, d = 3.548 Å, intensity 21.0
- (0 2 1), 2θ = 28.02°, d = 3.184 Å, intensity 34.1
- (1 2 1), 2θ = 30.79°, d = 2.904 Å, intensity 18.3
- (2 1 1), 2θ = 30.85°, d = 2.898 Å, intensity 100.0
- (0 2 2), 2θ = 35.69°, d = 2.516 Å, intensity 31.2
- (2 2 1), 2θ = 37.97°, d = 2.370 Å, intensity 31.4
- (1 3 0), 2θ = 39.97°, d = 2.256 Å, intensity 18.3
- (0 1 3), 2θ = 40.17°, d = 2.245 Å, intensity 25.2
- (2 0 4), 2θ = 58.10°, d = 1.588 Å, intensity 16.5
- (2 3 3), 2θ = 61.12°, d = 1.516 Å, intensity 17.4

=====

# ZrFeCl6
Simulated PXRD pattern, CuKα. Input: DFT lattice parameters and positions (PBE).
Lines closer than 0.1° are merged.

Crystal structure
Lattice parameters (Å, degrees): 6.3875 6.3875 13.1009 90.00 90.00 120.00
Space group P-31c (No. 163)
Asymmetric unit:
Zr  0.3333  0.6667  0.2500 (multiplicity 2)
Fe  0.0000  0.0000  0.2500 (multiplicity 2)
Cl  0.0289  0.3316  0.3590 (multiplicity 12)

Largest 12 diffraction maxima, by angle, 10° ≤ 2θ ≤ 90°:
- (0 0 2), 2θ = 13.52°, d = 6.550 Å, intensity 100.0
- (1 0 1), 2θ = 17.40°, d = 5.096 Å, intensity 78.1
- (1 0 3), 2θ = 26.00°, d = 3.428 Å, intensity 16.5
- (2 -1 2), 2θ = 31.16°, d = 2.871 Å, intensity 96.8
- (2 0 3), 2θ = 38.53°, d = 2.337 Å, intensity 11.0
- (2 -1 4), 2θ = 39.41°, d = 2.287 Å, intensity 66.6
- (3 0 0), 2θ = 49.43°, d = 1.844 Å, intensity 28.8
- (1 1 6), 2θ = 50.64°, d = 1.802 Å, intensity 29.9
- (3 0 2), 2θ = 51.50°, d = 1.775 Å, intensity 19.3
- (2 2 2), 2θ = 59.60°, d = 1.551 Å, intensity 13.2
- (2 2 4), 2θ = 64.97°, d = 1.435 Å, intensity 12.1
- (5 -1 4), 2θ = 85.79°, d = 1.133 Å, intensity 10.6

=====

# Nd2VWN5
Simulated PXRD pattern, CuKα. Input: DFT lattice parameters and positions (PBE).
Lines closer than 0.1° are merged.

Crystal structure
Lattice parameters (Å, degrees): 3.335 13.849 10.157 90.00 90.00 90.00
Space group Cmc2_1 (No. 36)
Asymmetric unit:
Nd  0.000  0.114  0.000 (multiplicity 4)
Nd  0.000  0.138  0.616 (multiplicity 4)
V  0.000  0.451  0.764 (multiplicity 4)
W  0.000  0.213  0.330 (multiplicity 4)
N  0.000  0.049  0.351 (multiplicity 4)
N  0.000  0.291  0.959 (multiplicity 4)
N  0.000  0.320  0.694 (multiplicity 4)
N  0.000  0.350  0.318 (multiplicity 4)
N  0.000  0.497  0.104 (multiplicity 4)

Largest 12 diffraction maxima, by angle, 10° ≤ 2θ ≤ 90°:
- (0 2 0), 2θ = 12.78°, d = 6.925 Å, intensity 36.7
- (0 2 2), 2θ = 21.70°, d = 4.095 Å, intensity 25.7
- (1 1 0), 2θ = 27.51°, d = 3.242 Å, intensity 26.8
- (0 2 3), 2θ = 29.37°, d = 3.041 Å, intensity 78.2
- (0 4 2), 2θ = 31.27°, d = 2.861 Å, intensity 58.0
- (1 1 2), 2θ = 32.77°, d = 2.733 Å, intensity 25.3
- (1 3 0), 2θ = 33.14°, d = 2.703 Å, intensity 53.3
- (1 3 1), 2θ = 34.33°, d = 2.612 Å, intensity 50.6
- (1 1 3), 2θ = 38.44°, d = 2.342 Å, intensity 100.0
- (0 6 1), 2θ = 40.06°, d = 2.251 Å, intensity 38.2
- (1 5 2), 2θ = 46.20°, d = 1.965 Å, intensity 40.8
- (1 7 2), 2θ = 57.09°, d = 1.613 Å, intensity 23.3

=====

# Dy2Ho2In3
Simulated PXRD pattern, CuKα. Input: DFT lattice parameters and positions (PBE).
Lines closer than 0.1° are merged.

Crystal structure
Lattice parameters (Å, degrees): 3.473 32.011 3.494 90.00 90.00 90.00
Space group Cmmm (No. 65)
Asymmetric unit:
Dy  0.000  0.068  0.000 (multiplicity 4)
Ho  0.000  0.202  0.000 (multiplicity 4)
In  0.000  0.364  0.500 (multiplicity 4)
In  0.000  0.500  0.500 (multiplicity 2)

Largest 12 diffraction maxima, by angle, 10° ≤ 2θ ≤ 90°:
- (0 6 1), 2θ = 30.59°, d = 2.923 Å, intensity 20.8
- (1 7 0), 2θ = 32.37°, d = 2.766 Å, intensity 100.0
- (0 8 1), 2θ = 34.07°, d = 2.632 Å, intensity 76.9
- (1 1 1), 2θ = 36.59°, d = 2.456 Å, intensity 72.2
- (1 3 1), 2θ = 37.47°, d = 2.400 Å, intensity 9.2
- (0 14 0), 2θ = 39.41°, d = 2.287 Å, intensity 19.1
- (0 0 2), 2θ = 52.38°, d = 1.747 Å, intensity 14.6
- (2 0 0), 2θ = 52.71°, d = 1.736 Å, intensity 14.7
- (1 15 1), 2θ = 57.11°, d = 1.613 Å, intensity 43.9
- (1 7 2), 2θ = 62.93°, d = 1.477 Å, intensity 29.2
- (2 8 1), 2θ = 64.27°, d = 1.449 Å, intensity 24.1
- (0 22 1), 2θ = 70.05°, d = 1.343 Å, intensity 11.8

=====

# Dy4ZnI5
Simulated PXRD pattern, CuKα. Input: DFT lattice parameters and positions (PBE).
Lines closer than 0.1° are merged.

Crystal structure
Lattice parameters (Å, degrees): 19.157 4.109 8.928 90.00 102.49 90.00
Space group C2/m (No. 12)
Asymmetric unit:
Dy  0.000  0.000  0.217 (multiplicity 4)
Dy  0.147  0.500  0.075 (multiplicity 4)
Zn  0.000  0.500  0.000 (multiplicity 2)
I  0.000  0.500  0.500 (multiplicity 2)
I  0.167  0.000  0.341 (multiplicity 4)
I  0.175  0.000  0.828 (multiplicity 4)

Largest 12 diffraction maxima, by angle, 10° ≤ 2θ ≤ 90°:
- (0 0 1), 2θ = 10.15°, d = 8.717 Å, intensity 26.4
- (3 1 -1), 2θ = 26.77°, d = 3.331 Å, intensity 11.2
- (6 0 0), 2θ = 28.64°, d = 3.117 Å, intensity 49.1
- (3 1 1), 2θ = 29.08°, d = 3.071 Å, intensity 11.0
- (1 1 -2), 2θ = 29.55°, d = 3.023 Å, intensity 100.0
- (5 1 0), 2θ = 32.36°, d = 2.767 Å, intensity 13.1
- (2 0 -4), 2θ = 40.42°, d = 2.232 Å, intensity 18.6
- (5 1 2), 2θ = 41.36°, d = 2.183 Å, intensity 35.3
- (7 1 -2), 2θ = 41.87°, d = 2.158 Å, intensity 32.6
- (0 2 0), 2θ = 44.07°, d = 2.055 Å, intensity 17.8
- (6 2 0), 2θ = 53.41°, d = 1.716 Å, intensity 17.1
- (2 2 -4), 2θ = 61.33°, d = 1.512 Å, intensity 10.8

=====

# Ni3Os5
Simulated PXRD pattern, CuKα. Input: DFT lattice parameters and positions (PBE).
Lines closer than 0.1° are merged.

Crystal structure
Lattice parameters (Å, degrees): 7.454 7.537 3.755 90.00 90.00 90.00
Space group Cmmm (No. 65)
Asymmetric unit:
Ni  0.000  0.000  0.000 (multiplicity 2)
Ni  0.000  0.256  0.500 (multiplicity 4)
Os  0.000  0.500  0.000 (multiplicity 2)
Os  0.246  0.000  0.500 (multiplicity 4)
Os  0.250  0.250  0.000 (multiplicity 4)

Largest 12 diffraction maxima, by angle, 10° ≤ 2θ ≤ 90°:
- (2 0 0), 2θ = 23.88°, d = 3.727 Å, intensity 10.8
- (0 2 1), 2θ = 33.69°, d = 2.660 Å, intensity 9.3
- (2 2 1), 2θ = 41.72°, d = 2.165 Å, intensity 100.0
- (0 4 0), 2θ = 48.30°, d = 1.884 Å, intensity 16.4
- (0 0 2), 2θ = 48.48°, d = 1.878 Å, intensity 16.2
- (4 0 0), 2θ = 48.88°, d = 1.863 Å, intensity 15.8
- (0 4 2), 2θ = 70.85°, d = 1.330 Å, intensity 10.4
- (4 4 0), 2θ = 71.16°, d = 1.325 Å, intensity 10.2
- (4 0 2), 2θ = 71.30°, d = 1.323 Å, intensity 10.2
- (2 6 1), 2θ = 85.59°, d = 1.135 Å, intensity 12.7
- (2 2 3), 2θ = 85.86°, d = 1.132 Å, intensity 12.7
- (6 2 1), 2θ = 86.45°, d = 1.126 Å, intensity 12.4

=====

# RbCrH2
Simulated PXRD pattern, CuKα. Input: DFT lattice parameters and positions (PBE).
Lines closer than 0.1° are merged.

Crystal structure
Lattice parameters (Å, degrees): 4.070 6.087 6.652 113.29 99.30 98.94
Space group P-1 (No. 2)
Asymmetric unit:
Rb  0.198  0.339  0.179 (multiplicity 2)
Cr  0.343  0.021  0.579 (multiplicity 2)
H  0.046  0.222  0.555 (multiplicity 2)
H  0.417  0.820  0.148 (multiplicity 2)

Largest 12 diffraction maxima, by angle, 10° ≤ 2θ ≤ 90°:
- (1 0 -1), 2θ = 24.05°, d = 3.700 Å, intensity 61.9
- (0 1 1), 2θ = 26.65°, d = 3.346 Å, intensity 100.0
- (0 1 -2), 2θ = 27.39°, d = 3.256 Å, intensity 83.4
- (1 -1 1), 2θ = 28.21°, d = 3.164 Å, intensity 84.7
- (0 2 -1), 2θ = 29.73°, d = 3.005 Å, intensity 97.0
- (1 1 0), 2θ = 31.33°, d = 2.855 Å, intensity 57.2
- (1 -2 0), 2θ = 35.46°, d = 2.532 Å, intensity 30.4
- (1 0 2), 2θ = 42.65°, d = 2.120 Å, intensity 29.9
- (-2 1 1), 2θ = 46.67°, d = 1.946 Å, intensity 24.6
- (1 -3 2), 2θ = 49.82°, d = 1.830 Å, intensity 18.5
- (0 3 0), 2θ = 50.47°, d = 1.808 Å, intensity 17.7
- (1 2 1), 2θ = 54.34°, d = 1.688 Å, intensity 21.8

=====

# Sm5Dy4Y4
Simulated PXRD pattern, CuKα. Input: DFT lattice parameters and positions (PBE).
Lines closer than 0.1° are merged.

Crystal structure
Lattice parameters (Å, degrees): 12.929 12.929 5.062 90.00 90.00 90.00
Space group I4/m (No. 87)
Asymmetric unit:
Sm  0.000  0.000  0.000 (multiplicity 2)
Sm  0.039  0.807  0.500 (multiplicity 8)
Dy  0.154  0.232  0.000 (multiplicity 8)
Y  0.077  0.615  0.000 (multiplicity 8)

Largest 12 diffraction maxima, by angle, 10° ≤ 2θ ≤ 90°:
- (2 0 0), 2θ = 13.70°, d = 6.465 Å, intensity 1.3
- (1 2 1), 2θ = 23.36°, d = 3.809 Å, intensity 2.4
- (2 3 1), 2θ = 30.55°, d = 2.926 Å, intensity 100.0
- (5 1 0), 2θ = 35.42°, d = 2.534 Å, intensity 50.3
- (5 1 2), 2θ = 50.97°, d = 1.792 Å, intensity 35.6
- (7 4 1), 2θ = 60.60°, d = 1.528 Å, intensity 42.2
- (4 6 2), 2θ = 63.60°, d = 1.463 Å, intensity 12.1
- (10 2 0), 2θ = 74.90°, d = 1.268 Å, intensity 3.8
- (0 0 4), 2θ = 75.07°, d = 1.265 Å, intensity 1.9
- (7 4 3), 2θ = 83.07°, d = 1.163 Å, intensity 17.2
- (10 2 2), 2θ = 85.68°, d = 1.134 Å, intensity 10.8
- (5 1 4), 2θ = 85.82°, d = 1.132 Å, intensity 5.4